Structure and calculated X-ray diffraction stick pattern of Ti4ZnO8 (a cell relaxed with GGA-PBE; λ = 1.5418 Å (Cu Kα)).
Neutral-atom scattering factors, no anomalous dispersion.

Structure:
Unit cell a=5.9512 b=5.9512 c=15.2057 alpha=90.00 beta=90.00 gamma=120.00
Space group R-3m (No. 166, hexagonal axes)
Inequivalent atoms, fractional coordinates:
Ti1 0.0000 0.0000 0.0000 x3
Ti2 0.0000 0.5000 0.0000 x9
Zn1 0.0000 0.0000 0.5000 x3
O1 0.0000 0.0000 0.2687 x6
O2 0.0119 0.5060 0.2615 x18

Peak list (12 most intense, 2θ = 10–90°, by angle)
| d [Å] | 2θ/deg | I (rel.) | hkl |
| --- | --- | --- | --- |
| 5.069 | 17.50 | 62 | 0 0 3 |
| 4.881 | 18.17 | 39 | 1 0 1 |
| 4.266 | 20.82 | 23 | 0 1 2 |
| 2.976 | 30.03 | 10 | 1 1 0 |
| 2.566 | 34.97 | 11 | 1 1 3 |
| 2.538 | 35.36 | 22 | 0 0 6 |
| 2.441 | 36.83 | 18 | 2 0 2 |
| 2.133 | 42.37 | 100 | 0 2 4 |
| 1.931 | 47.07 | 10 | 1 1 6 |
| 1.530 | 60.53 | 26 | 2 0 8 |
| 1.488 | 62.42 | 27 | 2 2 0 |
| 1.220 | 78.36 | 12 | 4 0 4 |

=====

Structure and calculated X-ray diffraction stick pattern of Li3Ag2HPd3 (a cell relaxed with GGA-PBE; λ = 1.5418 Å (Cu Kα)).
Neutral-atom scattering factors, no anomalous dispersion.

Structure:
Unit cell a=7.0522 b=7.0522 c=2.8609 alpha=90.00 beta=90.00 gamma=120.00
Space group P-62m (No. 189)
Inequivalent atoms, fractional coordinates:
Li1 0.0000 0.3705 0.0000 x3
Ag1 0.3333 0.6667 0.5000 x2
H1 0.0000 0.0000 0.0000 x1
Pd1 0.0000 0.7714 0.5000 x3

Peak list (12 most intense, 2θ = 10–90°, by angle)
| d [Å] | 2θ/deg | I (rel.) | hkl |
| --- | --- | --- | --- |
| 3.526 | 25.26 | 69 | 1 1 0 |
| 3.054 | 29.25 | 40 | 2 0 0 |
| 2.861 | 31.26 | 75 | 0 0 1 |
| 2.308 | 39.02 | 100 | 2 1 0 |
| 2.222 | 40.61 | 48 | 1 1 1 |
| 2.088 | 43.34 | 30 | 2 0 1 |
| 2.036 | 44.50 | 20 | 3 0 0 |
| 1.797 | 50.82 | 89 | 2 1 1 |
| 1.659 | 55.39 | 16 | 3 0 1 |
| 1.333 | 70.68 | 22 | 4 1 0 |
| 1.216 | 78.69 | 25 | 2 1 2 |
| 1.208 | 79.31 | 33 | 4 1 1 |